# 1
# TbSc2Sb3
Computed powder diffractogram, Cu Kα (weighted mean of Kα1 and Kα2). Input: a PBE-relaxed structure.

Crystal structure
Cell lengths 4.2600, 4.2600, 17.9738 Å; angles 90.00, 90.00, 90.00 degrees
Sites, in units of the cell vectors:
Tb: 0.0000 0.0000 0.0000
Tb: 0.5000 0.5000 0.5000
Sc: 0.0000 0.0000 0.3343
Sc: 0.0000 0.0000 0.6657
Sc: 0.5000 0.5000 0.1657
Sc: 0.5000 0.5000 0.8343
Sb: 0.0000 0.0000 0.1713
Sb: 0.0000 0.0000 0.5000
Sb: 0.0000 0.0000 0.8287
Sb: 0.5000 0.5000 0.0000
Sb: 0.5000 0.5000 0.3287
Sb: 0.5000 0.5000 0.6713

Most intense lines, 10 to 90 degrees two-theta, most intense first:
d [Å], 2θ/deg, intensity
3.012, 29.66, 100.0
2.124, 42.56, 72.7
2.996, 29.83, 48.7
1.736, 52.73, 38.2
2.130, 42.44, 37.1
1.346, 69.86, 32.4

# 2
# TbSc3Sb4
Computed powder diffractogram, Cu Kα (weighted mean of Kα1 and Kα2). Input: a PBE-relaxed structure.

Crystal structure
Cell lengths 8.4525, 11.9565, 4.2295 Å; angles 90.00, 90.00, 90.00 degrees
Sites, in units of the cell vectors:
Tb: 0.0000 0.0000 0.0000
Tb: 0.5000 0.5000 0.0000
Sc: 0.0000 0.5000 0.0000
Sc: 0.2500 0.2500 0.5000
Sc: 0.2500 0.7500 0.5000
Sc: 0.5000 0.0000 0.0000
Sc: 0.7500 0.2500 0.5000
Sc: 0.7500 0.7500 0.5000
Sb: 0.0000 0.2555 0.0000
Sb: 0.0000 0.7445 0.0000
Sb: 0.2390 0.5000 0.5000
Sb: 0.2610 0.0000 0.5000
Sb: 0.5000 0.2445 0.0000
Sb: 0.5000 0.7555 0.0000
Sb: 0.7390 0.0000 0.5000
Sb: 0.7610 0.5000 0.5000

Most intense lines, 10 to 90 degrees two-theta, most intense first:
d [Å], 2θ/deg, intensity
2.989, 29.89, 100.0
2.114, 42.78, 73.4
1.337, 70.43, 31.5
1.726, 53.06, 25.4
1.220, 78.35, 23.2
1.495, 62.10, 11.6

# 3
# Tb5ScSb4
Computed powder diffractogram, Cu Kα (weighted mean of Kα1 and Kα2). Input: a PBE-relaxed structure.

Crystal structure
Cell lengths 9.4924, 9.4924, 8.3213 Å; angles 104.84, 104.84, 25.93 degrees
Sites, in units of the cell vectors:
Tb: 0.0000 0.0000 0.0000
Tb: 0.3240 0.3240 0.1484
Tb: 0.3338 0.3338 0.6799
Tb: 0.6662 0.6662 0.3201
Tb: 0.6760 0.6760 0.8516
Sc: 0.0000 0.0000 0.5000
Sb: 0.1644 0.1644 0.5828
Sb: 0.4948 0.4948 0.2551
Sb: 0.5052 0.5052 0.7449
Sb: 0.8356 0.8356 0.4172

Most intense lines, 10 to 90 degrees two-theta, most intense first:
d [Å], 2θ/deg, intensity
2.975, 30.04, 100.0
2.132, 42.39, 39.1
2.076, 43.59, 34.3
1.732, 52.87, 13.4
1.346, 69.90, 11.5
1.488, 62.43, 11.4

# 4
# Tb8ScSb6
Computed powder diffractogram, Cu Kα (weighted mean of Kα1 and Kα2). Input: a PBE-relaxed structure.

Crystal structure
Cell lengths 11.2300, 11.2300, 4.3798 Å; angles 90.00, 90.00, 120.00 degrees
Sites, in units of the cell vectors:
Tb: 0.0397 0.3213 0.2453
Tb: 0.2816 0.9603 0.2453
Tb: 0.3213 0.2816 0.7547
Tb: 0.3333 0.6667 0.7550
Tb: 0.6667 0.3333 0.2450
Tb: 0.6787 0.7184 0.2453
Tb: 0.7184 0.0397 0.7547
Tb: 0.9603 0.6787 0.7547
Sc: 0.0000 0.0000 0.5000
Sb: 0.1254 0.6453 0.2545
Sb: 0.3547 0.4801 0.2545
Sb: 0.4801 0.1254 0.7455
Sb: 0.5199 0.8746 0.2545
Sb: 0.6453 0.5199 0.7455
Sb: 0.8746 0.3547 0.7455

Most intense lines, 10 to 90 degrees two-theta, most intense first:
d [Å], 2θ/deg, intensity
2.815, 31.78, 100.0
2.364, 38.07, 60.9
3.242, 27.51, 48.9
3.254, 27.41, 46.8
2.697, 33.21, 44.3
1.988, 45.63, 32.7

# 5
# Tb3ScSb2
Computed powder diffractogram, Cu Kα (weighted mean of Kα1 and Kα2). Input: a PBE-relaxed structure.

Crystal structure
Cell lengths 4.4233, 4.4233, 8.3952 Å; angles 90.00, 90.00, 90.00 degrees
Sites, in units of the cell vectors:
Tb: 0.0000 0.0000 0.0000
Tb: 0.0000 0.5000 0.6500
Tb: 0.5000 0.0000 0.3500
Sc: 0.5000 0.5000 0.0000
Sb: 0.0000 0.5000 0.2739
Sb: 0.5000 0.0000 0.7261

Most intense lines, 10 to 90 degrees two-theta, most intense first:
d [Å], 2θ/deg, intensity
2.508, 35.80, 100.0
2.931, 30.50, 97.9
2.212, 40.80, 71.1
2.798, 31.98, 44.3
1.735, 52.76, 42.8
3.128, 28.54, 40.6

# 6
# TbYSc2Sb4
Computed powder diffractogram, Cu Kα (weighted mean of Kα1 and Kα2). Input: a PBE-relaxed structure.

Crystal structure
Cell lengths 7.4061, 4.2859, 7.4215 Å; angles 90.00, 109.51, 90.00 degrees
Sites, in units of the cell vectors:
Tb: 0.0000 0.0000 0.0000
Y: 0.0000 0.5000 0.5000
Sc: 0.5000 0.0000 0.5000
Sc: 0.5000 0.5000 0.0000
Sb: 0.2657 0.0000 0.7549
Sb: 0.2660 0.5000 0.2556
Sb: 0.7343 0.0000 0.2451
Sb: 0.7340 0.5000 0.7444

Most intense lines, 10 to 90 degrees two-theta, most intense first:
d [Å], 2θ/deg, intensity
3.028, 29.50, 100.0
2.141, 42.21, 73.6
1.749, 52.31, 19.6
1.237, 77.13, 17.9
1.355, 69.36, 16.4
1.353, 69.46, 15.0